[1]
The following is a computed PXRD pattern of Cs3Na2Cd7. It was derived from a cell relaxed with PBE, using Cu Kα, 1.54184 Å.
Intensities are scaled so that the largest is 100.

Cell and atoms:
abc: 6.8813 6.8813 31.6392
angles: 90.00 90.00 120.00
Space group R-3m (No. 166, hexagonal axes)
Inequivalent atoms, fractional coordinates:
Cs: 0.0000 0.0000 0.0000 [3 per cell]
Cs: 0.0000 0.0000 0.1457 [6 per cell]
Na: 0.0000 0.0000 0.3271 [6 per cell]
Cd: 0.0000 0.0000 0.5000 [3 per cell]
Cd: 0.0272 0.5136 0.0827 [18 per cell]

Top 10 peaks for 2θ from 10° to 80°, low angle first:
d = 3.601 Å, rel. 47, hkl 1 0 7
d = 3.295 Å, rel. 23, hkl 0 1 8
d = 2.967 Å, rel. 61, hkl 0 2 1
d = 2.928 Å, rel. 26, hkl 2 0 2
d = 2.882 Å, rel. 100, hkl 1 1 6
d = 2.696 Å, rel. 34, hkl 2 0 5
d = 2.637 Å, rel. 26, hkl 0 0 12
d = 1.957 Å, rel. 23, hkl 1 2 8
d = 1.859 Å, rel. 29, hkl 0 3 6
d = 1.720 Å, rel. 31, hkl 2 2 0

=====

[2]
The following is a computed PXRD pattern of Cs3Na4Cd2. It was derived from a cell relaxed with PBE, using Cu Kα, 1.54184 Å.
Intensities are scaled so that the largest is 100.

Cell and atoms:
abc: 14.6449 5.9703 11.5183
angles: 90.00 113.76 90.00
Space group C2/m (No. 12)
Inequivalent atoms, fractional coordinates:
Cs: 0.0000 0.0000 0.0000 [2 per cell]
Cs: 0.1092 0.5000 0.3650 [4 per cell]
Na: 0.1062 0.0000 0.6504 [4 per cell]
Na: 0.2184 0.5000 0.0523 [4 per cell]
Cd: 0.2105 0.5000 0.7607 [4 per cell]

Top 10 peaks for 2θ from 10° to 80°, low angle first:
d = 5.205 Å, rel. 94, hkl 1 1 -1
d = 4.145 Å, rel. 100, hkl 1 1 -2
d = 3.806 Å, rel. 56, hkl 2 0 -3
d = 3.646 Å, rel. 87, hkl 4 0 -1
d = 3.577 Å, rel. 81, hkl 3 1 0
d = 3.513 Å, rel. 86, hkl 2 0 2
d = 3.097 Å, rel. 70, hkl 3 1 1
d = 2.985 Å, rel. 76, hkl 0 2 0
d = 2.310 Å, rel. 50, hkl 4 2 -1
d = 2.275 Å, rel. 52, hkl 2 2 2

=====

[3]
The following is a computed PXRD pattern of Cs2Na2Cd. It was derived from a cell relaxed with PBE, using Cu Kα, 1.54184 Å.
Intensities are scaled so that the largest is 100.

Cell and atoms:
abc: 8.9781 17.1110 7.8393
angles: 90.00 90.00 90.00
Space group Ibam (No. 72)
Inequivalent atoms, fractional coordinates:
Cs: 0.1755 0.1157 0.0000 [8 per cell]
Na: 0.1334 0.3655 0.0000 [8 per cell]
Cd: 0.0000 0.5000 0.2500 [4 per cell]

Top 10 peaks for 2θ from 10° to 80°, low angle first:
d = 8.556 Å, rel. 45, hkl 0 2 0
d = 4.860 Å, rel. 100, hkl 1 2 1
d = 4.814 Å, rel. 31, hkl 1 3 0
d = 3.798 Å, rel. 46, hkl 2 1 1
d = 3.516 Å, rel. 40, hkl 1 1 2
d = 3.217 Å, rel. 39, hkl 2 3 1
d = 3.097 Å, rel. 32, hkl 2 4 0
d = 2.950 Å, rel. 59, hkl 3 1 0
d = 2.890 Å, rel. 63, hkl 0 4 2
d = 2.569 Å, rel. 28, hkl 1 6 1

=====

[4]
The following is a computed PXRD pattern of Cs3NaCd. It was derived from a cell relaxed with PBE, using Cu Kα, 1.54184 Å.
Intensities are scaled so that the largest is 100.

Cell and atoms:
abc: 16.2087 16.2087 5.7147
angles: 90.00 90.00 90.00
Space group P4_2/mnm (No. 136)
Inequivalent atoms, fractional coordinates:
Cs: 0.0673 0.3211 0.0000 [8 per cell]
Cs: 0.1116 0.8884 0.5000 [4 per cell]
Na: 0.1483 0.1483 0.5000 [4 per cell]
Cd: 0.0677 0.0677 0.0000 [4 per cell]

Top 10 peaks for 2θ from 10° to 80°, low angle first:
d = 5.116 Å, rel. 46, hkl 1 1 1
d = 4.494 Å, rel. 31, hkl 3 2 0
d = 3.927 Å, rel. 100, hkl 3 0 1
d = 3.816 Å, rel. 80, hkl 3 1 1
d = 3.178 Å, rel. 34, hkl 5 1 0
d = 2.858 Å, rel. 31, hkl 0 0 2
d = 2.561 Å, rel. 41, hkl 4 4 1
d = 2.145 Å, rel. 22, hkl 7 0 1
d = 2.126 Å, rel. 21, hkl 5 1 2
d = 1.645 Å, rel. 25, hkl 8 5 1

=====

[5]
The following is a computed PXRD pattern of Cs3Na8Cd. It was derived from a cell relaxed with PBE, using Cu Kα, 1.54184 Å.
Intensities are scaled so that the largest is 100.

Cell and atoms:
abc: 7.5362 7.5362 36.0159
angles: 90.00 90.00 120.00
Space group R3m (No. 160, hexagonal axes)
Inequivalent atoms, fractional coordinates:
Cs: 0.0000 0.0000 0.0000 [3 per cell]
Cs: 0.0000 0.0000 0.1296 [3 per cell]
Cs: 0.0000 0.0000 0.6133 [3 per cell]
Na: 0.0000 0.0000 0.3120 [3 per cell]
Na: 0.0000 0.0000 0.8136 [3 per cell]
Na: 0.0009 0.5005 0.5586 [9 per cell]
Na: 0.0102 0.5051 0.0686 [9 per cell]
Cd: 0.0000 0.0000 0.4891 [3 per cell]

Top 10 peaks for 2θ from 10° to 80°, low angle first:
d = 6.136 Å, rel. 75, hkl 0 1 2
d = 6.003 Å, rel. 25, hkl 0 0 6
d = 3.768 Å, rel. 96, hkl 1 1 0
d = 3.706 Å, rel. 80, hkl 0 1 8
d = 3.211 Å, rel. 51, hkl 2 0 2
d = 3.191 Å, rel. 100, hkl 1 1 6
d = 3.153 Å, rel. 38, hkl 1 0 10
d = 2.163 Å, rel. 37, hkl 1 2 8
d = 2.045 Å, rel. 28, hkl 3 0 6
d = 1.884 Å, rel. 26, hkl 2 2 0

=====

[6]
The following is a computed PXRD pattern of Cs2Na17Cd3. It was derived from a cell relaxed with PBE, using Cu Kα, 1.54184 Å.
Intensities are scaled so that the largest is 100.

Cell and atoms:
abc: 13.0733 13.0733 18.6614
angles: 90.00 90.00 120.00
Space group R-3m (No. 166, hexagonal axes)
Inequivalent atoms, fractional coordinates:
Cs: 0.0000 0.0000 0.1597 [6 per cell]
Na: 0.0000 0.0000 0.4013 [6 per cell]
Na: 0.0000 0.2626 0.5000 [18 per cell]
Na: 0.0000 0.5000 0.0000 [9 per cell]
Na: 0.0010 0.5005 0.6691 [18 per cell]
Cd: 0.0000 0.5000 0.5000 [9 per cell]

Top 10 peaks for 2θ from 10° to 80°, low angle first:
d = 7.200 Å, rel. 25, hkl 0 1 2
d = 6.220 Å, rel. 59, hkl 0 0 3
d = 4.313 Å, rel. 23, hkl 1 0 4
d = 4.171 Å, rel. 35, hkl 2 1 1
d = 3.890 Å, rel. 28, hkl 1 2 2
d = 3.268 Å, rel. 100, hkl 2 2 0
d = 3.227 Å, rel. 21, hkl 3 0 3
d = 3.154 Å, rel. 36, hkl 2 1 4
d = 3.111 Å, rel. 41, hkl 0 0 6
d = 2.253 Å, rel. 61, hkl 2 2 6

=====

[7]
The following is a computed PXRD pattern of CsNaCdO2. It was derived from a cell relaxed with PBE, using Cu Kα, 1.54184 Å.
Intensities are scaled so that the largest is 100.

Cell and atoms:
abc: 12.4668 3.9588 8.4634
angles: 90.00 101.23 90.00
Space group C2/m (No. 12)
Inequivalent atoms, fractional coordinates:
Cs: 0.1566 0.0000 0.1418 [4 per cell]
Na: 0.1817 0.0000 0.5508 [4 per cell]
Cd: 0.0473 0.5000 0.6827 [4 per cell]
O: 0.1140 0.0000 0.7914 [4 per cell]
O: 0.1262 0.5000 0.4356 [4 per cell]

Top 10 peaks for 2θ from 10° to 80°, low angle first:
d = 3.510 Å, rel. 100, hkl 1 1 -1
d = 3.160 Å, rel. 54, hkl 2 0 2
d = 3.069 Å, rel. 52, hkl 4 0 -1
d = 2.876 Å, rel. 35, hkl 1 1 -2
d = 2.840 Å, rel. 80, hkl 3 1 0
d = 2.728 Å, rel. 40, hkl 2 0 -3
d = 2.297 Å, rel. 24, hkl 1 1 -3
d = 2.169 Å, rel. 29, hkl 1 1 3
d = 1.979 Å, rel. 25, hkl 0 2 0
d = 1.748 Å, rel. 25, hkl 5 1 2

=====

[8]
The following is a computed PXRD pattern of Cs2NpCd2Te4. It was derived from a cell relaxed with PBE, using Cu Kα, 1.54184 Å.
Intensities are scaled so that the largest is 100.

Cell and atoms:
abc: 17.1036 4.7942 8.9957
angles: 90.00 107.19 90.00
Space group C2/m (No. 12)
Inequivalent atoms, fractional coordinates:
Cs: 0.1299 0.0000 0.0638 [4 per cell]
Np: 0.0000 0.0000 0.5000 [2 per cell]
Cd: 0.1665 0.5000 0.4830 [4 per cell]
Te: 0.0065 0.5000 0.2639 [4 per cell]
Te: 0.2004 0.0000 0.6749 [4 per cell]

Top 10 peaks for 2θ from 10° to 80°, low angle first:
d = 8.594 Å, rel. 85, hkl 0 0 1
d = 3.328 Å, rel. 31, hkl 4 0 1
d = 3.279 Å, rel. 100, hkl 1 1 -2
d = 3.110 Å, rel. 64, hkl 3 1 1
d = 3.070 Å, rel. 59, hkl 3 1 -2
d = 2.723 Å, rel. 31, hkl 6 0 0
d = 2.527 Å, rel. 35, hkl 3 1 2
d = 2.491 Å, rel. 28, hkl 3 1 -3
d = 2.397 Å, rel. 49, hkl 0 2 0
d = 2.054 Å, rel. 36, hkl 3 1 3

=====

[9]
The following is a computed PXRD pattern of Cs2NpCdTe4. It was derived from a cell relaxed with PBE, using Cu Kα, 1.54184 Å.
Intensities are scaled so that the largest is 100.

Cell and atoms:
abc: 9.3433 9.3433 7.7749
angles: 90.00 90.00 90.00
Space group I-42m (No. 121)
Inequivalent atoms, fractional coordinates:
Cs: 0.0000 0.5000 0.0000 [4 per cell]
Np: 0.0000 0.0000 0.0000 [2 per cell]
Cd: 0.0000 0.0000 0.5000 [2 per cell]
Te: 0.1666 0.1666 0.2561 [8 per cell]

Top 10 peaks for 2θ from 10° to 80°, low angle first:
d = 6.607 Å, rel. 19, hkl 1 1 0
d = 4.672 Å, rel. 26, hkl 2 0 0
d = 3.681 Å, rel. 72, hkl 2 1 1
d = 3.303 Å, rel. 48, hkl 2 2 0
d = 2.988 Å, rel. 100, hkl 2 0 2
d = 2.517 Å, rel. 20, hkl 2 2 2
d = 2.202 Å, rel. 27, hkl 3 3 0
d = 2.089 Å, rel. 27, hkl 4 2 0
d = 2.002 Å, rel. 32, hkl 4 0 2
d = 1.381 Å, rel. 19, hkl 6 2 2

=====

[10]
The following is a computed PXRD pattern of Cs3Cd2O4. It was derived from a cell relaxed with PBE, using Cu Kα, 1.54184 Å.
Intensities are scaled so that the largest is 100.

Cell and atoms:
abc: 12.5491 10.8258 6.5341
angles: 90.00 93.90 90.00
Space group C2/c (No. 15)
Inequivalent atoms, fractional coordinates:
Cs: 0.0000 0.0790 0.2500 [4 per cell]
Cs: 0.1128 0.3354 0.5538 [8 per cell]
Cd: 0.2257 0.1103 0.9311 [8 per cell]
O: 0.1279 0.2769 0.0148 [8 per cell]
O: 0.1910 0.0596 0.6019 [8 per cell]

Top 10 peaks for 2θ from 10° to 80°, low angle first:
d = 3.467 Å, rel. 21, hkl 1 3 0
d = 3.441 Å, rel. 76, hkl 3 1 -1
d = 3.400 Å, rel. 100, hkl 2 2 1
d = 3.257 Å, rel. 22, hkl 0 0 2
d = 3.076 Å, rel. 39, hkl 1 1 -2
d = 2.814 Å, rel. 20, hkl 2 0 2
d = 2.708 Å, rel. 34, hkl 0 4 0
d = 2.559 Å, rel. 28, hkl 3 3 -1
d = 2.440 Å, rel. 28, hkl 5 1 0
d = 2.398 Å, rel. 21, hkl 1 3 -2

=====

[11]
The following is a computed PXRD pattern of Cs4Cd2O. It was derived from a cell relaxed with PBE, using Cu Kα, 1.54184 Å.
Intensities are scaled so that the largest is 100.

Cell and atoms:
abc: 18.3115 4.6551 7.9146
angles: 90.00 91.87 90.00
Space group C2/m (No. 12)
Inequivalent atoms, fractional coordinates:
Cs: 0.0417 0.0000 0.2346 [4 per cell]
Cs: 0.1442 0.5000 0.8853 [4 per cell]
Cd: 0.2234 0.5000 0.4044 [4 per cell]
O: 0.0000 0.5000 0.0000 [2 per cell]

Top 10 peaks for 2θ from 10° to 80°, low angle first:
d = 3.906 Å, rel. 61, hkl 4 0 1
d = 3.701 Å, rel. 89, hkl 3 1 0
d = 3.674 Å, rel. 57, hkl 2 0 -2
d = 3.378 Å, rel. 55, hkl 3 1 -1
d = 2.962 Å, rel. 100, hkl 1 1 2
d = 2.878 Å, rel. 50, hkl 6 0 -1
d = 2.328 Å, rel. 28, hkl 0 2 0
d = 2.174 Å, rel. 42, hkl 7 1 1
d = 1.968 Å, rel. 48, hkl 5 1 -3
d = 1.810 Å, rel. 24, hkl 6 2 -1

=====

[12]
The following is a computed PXRD pattern of CsCdO. It was derived from a cell relaxed with PBE, using Cu Kα, 1.54184 Å.
Intensities are scaled so that the largest is 100.

Cell and atoms:
abc: 7.0870 8.0475 9.1624
angles: 85.69 67.30 63.93
Space group P-1 (No. 2)
Inequivalent atoms, fractional coordinates:
Cs: 0.1504 0.4368 0.2625 [2 per cell]
Cs: 0.1505 0.9368 0.7625 [2 per cell]
Cd: 0.4999 0.1347 0.8666 [2 per cell]
Cd: 0.5004 0.3653 0.6334 [2 per cell]
O: 0.2820 0.0002 0.9999 [2 per cell]
O: 0.2823 0.5004 0.5003 [2 per cell]

Top 10 peaks for 2θ from 10° to 80°, low angle first:
d = 5.175 Å, rel. 26, hkl 0 1 1
d = 4.199 Å, rel. 27, hkl 0 0 2
d = 3.945 Å, rel. 60, hkl 1 2 0
d = 3.543 Å, rel. 63, hkl 2 1 1
d = 3.102 Å, rel. 100, hkl 1 2 2
d = 2.713 Å, rel. 32, hkl 0 1 -3
d = 2.509 Å, rel. 22, hkl 1 -2 2
d = 2.243 Å, rel. 28, hkl 2 3 -1
d = 2.155 Å, rel. 25, hkl 2 0 4
d = 1.949 Å, rel. 23, hkl 3 0 0